# MgWO4
Computed X-ray diffraction stick pattern, Cu Ka. Input: a crystal structure in Alexandria, relaxed with GGA+U.

Largest 12 diffraction maxima, in order of rising 2θ, 5 to 70 degrees two-theta:
h k l, 2θ (°), d (Å), intensity
0 0 2, 17.32, 5.119, 64
1 1 1, 25.88, 3.442, 100
1 1 2, 30.04, 2.975, 37
0 2 1, 32.50, 2.755, 25
0 0 4, 35.06, 2.560, 13
1 1 3, 36.00, 2.495, 39
2 2 1, 50.75, 1.799, 18
1 1 5, 51.13, 1.786, 15
1 3 0, 51.65, 1.770, 13
2 0 4, 52.56, 1.741, 15
2 2 3, 57.18, 1.611, 13
1 3 4, 63.96, 1.456, 13

Structural model:
Lattice parameters (Å, degrees): 4.7506 5.7208 10.2386 90.00 90.00 90.00
Space group Pbcn (No. 60)
Symmetry-distinct sites (fractional):
Mg: 0.0000 0.0000 0.0000 x4
W: 0.0000 0.3377 0.2500 x4
O: 0.1931 0.2819 0.0925 x8
O: 0.2389 0.0479 0.3236 x8